Simulated PXRD pattern of Ce3BN5 for Cu Kα, from the PBE geometry in Alexandria.
Neutral-atom scattering factors, no anomalous dispersion.

Cell and atoms:
a = 6.933 Å, b = 6.933 Å, c = 6.933 Å
α = 124.03°, β = 124.03°, γ = 83.15°
Element x y z (fractional)
Ce 0.178 0.678 0.856
Ce 0.250 0.250 0.000
Ce 0.322 0.178 0.500
Ce 0.678 0.822 0.500
Ce 0.750 0.750 0.000
Ce 0.822 0.322 0.144
B 0.250 0.750 0.500
B 0.750 0.250 0.500
N 0.000 0.000 0.000
N 0.018 0.790 0.500
N 0.210 0.710 0.228
N 0.290 0.518 0.500
N 0.482 0.982 0.772
N 0.500 0.500 0.000
N 0.518 0.018 0.228
N 0.710 0.482 0.500
N 0.790 0.290 0.772
N 0.982 0.210 0.500

Main lines, in order of rising 2θ (2θ = 10–80°):
two_theta  d/Å  I (rel.)
25.9  3.442  50
31.9  2.802  68
32.5  2.756  100
34.6  2.593  37
39.2  2.300  23
40.5  2.226  65
44.0  2.058  40
57.1  1.612  26

Simulated PXRD pattern of CdSn4 for Cu Kα, from the PBE geometry in Alexandria.
Neutral-atom scattering factors, no anomalous dispersion.

Cell and atoms:
a = 4.121 Å, b = 6.624 Å, c = 10.298 Å
α = 90.00°, β = 90.14°, γ = 90.00°
Element x y z (fractional)
Cd 0.000 0.000 0.000
Cd 0.000 0.500 0.500
Sn 0.000 0.146 0.311
Sn 0.000 0.354 0.811
Sn 0.000 0.646 0.189
Sn 0.000 0.854 0.689
Sn 0.499 0.186 0.600
Sn 0.499 0.314 0.100
Sn 0.501 0.686 0.900
Sn 0.501 0.814 0.400

Main lines, in order of rising 2θ (2θ = 10–80°):
two_theta  d/Å  I (rel.)
26.9  3.313  26
29.3  3.048  37
30.9  2.894  100
35.9  2.504  58
37.5  2.400  26
41.8  2.159  27
43.9  2.061  31
66.0  1.415  30

Simulated PXRD pattern of LiTmLuCu for Cu Kα, from the PBE geometry in Alexandria.
Neutral-atom scattering factors, no anomalous dispersion.

Cell and atoms:
a = 4.928 Å, b = 4.928 Å, c = 4.928 Å
α = 60.00°, β = 60.00°, γ = 60.00°
Element x y z (fractional)
Li 0.000 0.000 0.000
Tm 0.250 0.250 0.250
Lu 0.750 0.750 0.750
Cu 0.500 0.500 0.500

Main lines, in order of rising 2θ (2θ = 10–80°):
two_theta  d/Å  I (rel.)
22.1  4.024  6
25.6  3.485  51
36.5  2.464  100
45.1  2.012  15
52.5  1.742  18
59.3  1.558  21
65.6  1.423  36
77.5  1.232  11

Simulated PXRD pattern of Pu6PaAu5 for Cu Kα, from the PBE geometry in Alexandria.
Neutral-atom scattering factors, no anomalous dispersion.

Cell and atoms:
a = 9.108 Å, b = 9.108 Å, c = 9.108 Å
α = 146.00°, β = 137.27°, γ = 55.70°
Element x y z (fractional)
Pu 0.072 0.329 0.743
Pu 0.236 0.000 0.236
Pu 0.414 0.671 0.743
Pu 0.586 0.329 0.257
Pu 0.764 0.000 0.764
Pu 0.928 0.671 0.257
Pa 0.500 0.500 0.000
Au 0.000 0.500 0.500
Au 0.167 0.167 0.000
Au 0.345 0.845 0.500
Au 0.655 0.155 0.500
Au 0.833 0.833 0.000

Main lines, in order of rising 2θ (2θ = 10–80°):
two_theta  d/Å  I (rel.)
33.4  2.684  30
33.7  2.663  30
36.0  2.494  100
48.1  1.891  22
61.4  1.510  20
61.7  1.503  22
66.2  1.411  9
76.4  1.247  11

Simulated PXRD pattern of NdMg16Al12 for Cu Kα, from the PBE geometry in Alexandria.
Neutral-atom scattering factors, no anomalous dispersion.

Cell and atoms:
a = 9.160 Å, b = 9.160 Å, c = 9.160 Å
α = 109.47°, β = 109.47°, γ = 109.47°
Element x y z (fractional)
Nd 0.000 0.000 0.000
Mg 0.000 0.000 0.638
Mg 0.000 0.397 0.681
Mg 0.000 0.638 0.000
Mg 0.000 0.681 0.397
Mg 0.283 0.603 0.603
Mg 0.319 0.319 0.717
Mg 0.319 0.717 0.319
Mg 0.362 0.362 0.362
Mg 0.397 0.000 0.681
Mg 0.397 0.681 0.000
Mg 0.603 0.283 0.603
Mg 0.603 0.603 0.283
Mg 0.638 0.000 0.000
Mg 0.681 0.000 0.397
Mg 0.681 0.397 0.000
Mg 0.717 0.319 0.319
Al 0.000 0.187 0.371
Al 0.000 0.371 0.187
Al 0.184 0.813 0.813
Al 0.187 0.000 0.371
Al 0.187 0.371 0.000
Al 0.371 0.000 0.187
Al 0.371 0.187 0.000
Al 0.629 0.629 0.816
Al 0.629 0.816 0.629
Al 0.813 0.184 0.813
Al 0.813 0.813 0.184
Al 0.816 0.629 0.629

Main lines, in order of rising 2θ (2θ = 10–80°):
two_theta  d/Å  I (rel.)
11.8  7.479  36
20.6  4.318  17
31.7  2.827  20
36.0  2.493  100
40.0  2.255  21
41.8  2.159  16
62.0  1.496  14
64.8  1.439  28

Simulated PXRD pattern of Rb4Sr3F10 for Cu Kα, from the PBE geometry in Alexandria.
Neutral-atom scattering factors, no anomalous dispersion.

Cell and atoms:
a = 17.048 Å, b = 17.048 Å, c = 17.048 Å
α = 163.89°, β = 163.89°, γ = 22.86°
Element x y z (fractional)
Rb 0.070 0.070 0.000
Rb 0.205 0.205 0.000
Rb 0.795 0.795 0.000
Rb 0.930 0.930 0.000
Sr 0.356 0.356 0.000
Sr 0.500 0.500 0.000
Sr 0.644 0.644 0.000
F 0.000 0.500 0.500
F 0.142 0.642 0.500
F 0.285 0.285 0.000
F 0.358 0.858 0.500
F 0.428 0.428 0.000
F 0.500 0.000 0.500
F 0.572 0.572 0.000
F 0.642 0.142 0.500
F 0.715 0.715 0.000
F 0.858 0.358 0.500

Main lines, in order of rising 2θ (2θ = 10–80°):
two_theta  d/Å  I (rel.)
26.4  3.378  100
34.1  2.627  5
37.7  2.389  42
46.6  1.950  40
54.3  1.689  26
61.4  1.511  17
68.0  1.379  8
74.3  1.277  18

Simulated PXRD pattern of Y3TmCo8 for Cu Kα, from the PBE geometry in Alexandria.
Neutral-atom scattering factors, no anomalous dispersion.

Cell and atoms:
a = 8.783 Å, b = 8.783 Å, c = 8.783 Å
α = 33.54°, β = 33.54°, γ = 33.54°
Element x y z (fractional)
Y 0.000 0.000 0.000
Y 0.125 0.125 0.125
Y 0.501 0.501 0.501
Tm 0.625 0.625 0.625
Co 0.060 0.563 0.563
Co 0.063 0.063 0.564
Co 0.063 0.564 0.063
Co 0.313 0.313 0.313
Co 0.563 0.060 0.563
Co 0.563 0.563 0.060
Co 0.564 0.063 0.063
Co 0.813 0.813 0.813

Main lines, in order of rising 2θ (2θ = 10–80°):
two_theta  d/Å  I (rel.)
10.7  8.281  4
21.5  4.139  4
35.4  2.534  49
41.8  2.161  100
43.7  2.069  23
63.6  1.463  17
67.9  1.380  30
74.9  1.267  23

Simulated PXRD pattern of SiB2PC for Cu Kα, from the PBE geometry in Alexandria.
Neutral-atom scattering factors, no anomalous dispersion.

Cell and atoms:
a = 3.117 Å, b = 3.117 Å, c = 6.779 Å
α = 90.00°, β = 90.00°, γ = 120.00°
Element x y z (fractional)
Si 0.000 0.000 0.000
B 0.000 0.000 0.699
B 0.333 0.667 0.321
P 0.333 0.667 0.597
C 0.333 0.667 0.102

Main lines, in order of rising 2θ (2θ = 10–80°):
two_theta  d/Å  I (rel.)
13.1  6.779  22
26.3  3.389  58
33.2  2.699  76
35.8  2.508  100
42.8  2.112  46
52.8  1.733  28
59.3  1.558  43
65.0  1.435  40

Simulated PXRD pattern of NaLiAs3 for Cu Kα, from the PBE geometry in Alexandria.
Neutral-atom scattering factors, no anomalous dispersion.

Cell and atoms:
a = 6.159 Å, b = 6.159 Å, c = 6.159 Å
α = 54.68°, β = 54.68°, γ = 54.68°
Element x y z (fractional)
Na 0.000 0.000 0.000
Li 0.532 0.532 0.532
As 0.025 0.025 0.467
As 0.025 0.467 0.025
As 0.467 0.025 0.025

Main lines, in order of rising 2θ (2θ = 10–80°):
two_theta  d/Å  I (rel.)
17.0  5.221  100
19.0  4.675  55
34.4  2.611  25
36.1  2.487  15
37.2  2.420  36
38.5  2.338  51
43.6  2.077  35
47.1  1.930  18

Simulated PXRD pattern of Ca3DyPb12 for Cu Kα, from the PBE geometry in Alexandria.
Neutral-atom scattering factors, no anomalous dispersion.

Cell and atoms:
a = 4.907 Å, b = 4.907 Å, c = 19.848 Å
α = 90.00°, β = 90.00°, γ = 90.00°
Element x y z (fractional)
Ca 0.000 0.000 0.000
Ca 0.000 0.000 0.252
Ca 0.000 0.000 0.748
Dy 0.000 0.000 0.500
Pb 0.000 0.500 0.125
Pb 0.000 0.500 0.377
Pb 0.000 0.500 0.623
Pb 0.000 0.500 0.875
Pb 0.500 0.000 0.125
Pb 0.500 0.000 0.377
Pb 0.500 0.000 0.623
Pb 0.500 0.000 0.875
Pb 0.500 0.500 0.000
Pb 0.500 0.500 0.251
Pb 0.500 0.500 0.500
Pb 0.500 0.500 0.749

Main lines, in order of rising 2θ (2θ = 10–80°):
two_theta  d/Å  I (rel.)
31.5  2.843  100
36.2  2.481  17
36.6  2.453  34
52.5  1.744  24
52.8  1.735  12
62.2  1.493  15
62.7  1.481  29
65.7  1.422  13

Simulated PXRD pattern of MgSi2Pd8 for Cu Kα, from the PBE geometry in Alexandria.
Neutral-atom scattering factors, no anomalous dispersion.

Cell and atoms:
a = 7.243 Å, b = 7.243 Å, c = 7.243 Å
α = 148.25°, β = 122.76°, γ = 66.95°
Element x y z (fractional)
Mg 0.000 0.000 0.000
Si 0.315 0.315 0.000
Si 0.685 0.685 0.000
Pd 0.119 0.834 0.285
Pd 0.146 0.646 0.500
Pd 0.307 0.500 0.807
Pd 0.451 0.166 0.285
Pd 0.549 0.834 0.715
Pd 0.693 0.500 0.193
Pd 0.854 0.354 0.500
Pd 0.881 0.166 0.715

Main lines, in order of rising 2θ (2θ = 10–80°):
two_theta  d/Å  I (rel.)
29.9  2.990  9
31.7  2.825  20
39.7  2.271  35
41.2  2.190  100
45.0  2.014  21
45.8  1.981  24
62.2  1.493  9
66.2  1.412  13

Simulated PXRD pattern of Pa2Si for Cu Kα, from the PBE geometry in Alexandria.
Neutral-atom scattering factors, no anomalous dispersion.

Cell and atoms:
a = 3.840 Å, b = 3.840 Å, c = 5.293 Å
α = 111.15°, β = 111.15°, γ = 90.04°
Element x y z (fractional)
Pa 0.148 0.148 0.297
Pa 0.852 0.852 0.703
Si 0.500 0.500 0.000

Main lines, in order of rising 2θ (2θ = 10–80°):
two_theta  d/Å  I (rel.)
25.2  3.538  78
33.0  2.715  80
37.8  2.381  100
47.3  1.920  30
52.4  1.745  18
54.4  1.687  20
62.1  1.495  36
78.8  1.214  14

Simulated PXRD pattern of Cs3AlTl4 for Cu Kα, from the PBE geometry in Alexandria.
Neutral-atom scattering factors, no anomalous dispersion.

Cell and atoms:
a = 7.820 Å, b = 7.820 Å, c = 7.312 Å
α = 101.58°, β = 101.58°, γ = 54.09°
Element x y z (fractional)
Cs 0.000 0.000 0.000
Cs 0.105 0.224 0.558
Cs 0.776 0.895 0.442
Al 0.422 0.578 0.500
Tl 0.269 0.367 0.139
Tl 0.429 0.423 0.806
Tl 0.577 0.571 0.194
Tl 0.633 0.731 0.861

Main lines, in order of rising 2θ (2θ = 10–80°):
two_theta  d/Å  I (rel.)
14.1  6.299  36
25.0  3.555  79
26.4  3.372  43
27.4  3.249  76
28.6  3.126  100
36.7  2.447  33
41.1  2.194  21
46.3  1.959  20